(1)
# CdCl4
Simulated powder XRD pattern, Cu Kα, 1.54184 Å. Input: a DFT-relaxed cell (GGA-PBE, the Materials Project).
Intensities are scaled so that the largest is 100.

Largest 12 diffraction maxima, in order of falling intensity, 2θ = 5–70°:
d [Å]  I (rel.)  h k l
10.509  100  0 2 0
5.110  58  1 1 1
2.632  16  2 0 2
2.555  13  2 2 2
2.355  10  1 1 3
1.860  8  2 8 2
2.327  7  3 1 1
4.210  7  1 3 1
2.609  7  1 7 1
5.255  7  0 4 0
2.135  6  1 9 1
2.104  6  0 10 0

Crystal structure
```
data_CdCl4
_symmetry_space_group_name_H-M 'C m c e'
_symmetry_Int_Tables_number 64
_symmetry_space_group_name_Hall '-C 2ac 2'
_cell_length_a 7.392
_cell_length_b 21.018
_cell_length_c 7.509
_cell_angle_alpha 90.00
_cell_angle_beta 90.00
_cell_angle_gamma 90.00
loop_
_atom_site_label
_atom_site_type_symbol
_atom_site_fract_x
_atom_site_fract_y
_atom_site_fract_z
_atom_site_occupancy
Cd1 Cd 0.000 0.000 0.000 1
Cl1 Cl 0.000 0.114 0.048 1
Cl2 Cl 0.250 0.015 0.750 1
```

***

(2)
# CdCl2
Simulated powder XRD pattern, Cu Kα, 1.54184 Å. Input: a DFT-relaxed cell (GGA-PBE, the Materials Project).
Intensities are scaled so that the largest is 100.

Largest 12 diffraction maxima, in order of falling intensity, 2θ = 5–70°:
d [Å]  I (rel.)  h k l
3.342  100  1 0 1
5.718  62  0 0 1
4.118  59  1 0 0
2.040  44  1 1 2
2.595  37  1 1 1
1.753  28  2 1 1
2.348  27  1 0 2
2.059  23  2 0 0
1.937  14  2 0 1
1.548  14  2 1 2
1.730  13  1 0 3
1.842  12  2 1 0

Crystal structure
```
data_CdCl2
_symmetry_space_group_name_H-M 'P -4 m 2'
_symmetry_Int_Tables_number 115
_symmetry_space_group_name_Hall 'P -4 -2'
_cell_length_a 4.118
_cell_length_b 4.118
_cell_length_c 5.718
_cell_angle_alpha 90.00
_cell_angle_beta 90.00
_cell_angle_gamma 90.00
loop_
_atom_site_label
_atom_site_type_symbol
_atom_site_fract_x
_atom_site_fract_y
_atom_site_fract_z
_atom_site_occupancy
Cd1 Cd 0.000 0.000 0.000 1
Cl1 Cl 0.000 0.500 0.253 1
```

***

(3)
# CsCdCl3
Simulated powder XRD pattern, Cu Kα, 1.54184 Å. Input: a DFT-relaxed cell (GGA-PBE, the Materials Project).
Intensities are scaled so that the largest is 100.

Largest 11 diffraction maxima, in order of falling intensity, 2θ = 5–70°:
d [Å]  I (rel.)  h k l
3.769  100  1 1 0
2.665  58  2 0 0
2.176  46  2 1 1
1.884  39  2 2 0
1.424  23  3 2 1
1.685  21  3 1 0
3.077  14  1 1 1
1.539  13  2 2 2
1.607  5  3 1 1
5.330  2  1 0 0
2.384  1  2 1 0

Crystal structure
```
data_CsCdCl3
_symmetry_space_group_name_H-M 'P m -3 m'
_symmetry_Int_Tables_number 221
_symmetry_space_group_name_Hall '-P 4 2 3'
_cell_length_a 5.330
_cell_length_b 5.330
_cell_length_c 5.330
_cell_angle_alpha 90.00
_cell_angle_beta 90.00
_cell_angle_gamma 90.00
loop_
_atom_site_label
_atom_site_type_symbol
_atom_site_fract_x
_atom_site_fract_y
_atom_site_fract_z
_atom_site_occupancy
Cs1 Cs 0.000 0.000 0.000 1
Cd1 Cd 0.500 0.500 0.500 1
Cl1 Cl 0.000 0.500 0.500 1
```

***

(4)
# CsCdCl3
Simulated powder XRD pattern, Cu Kα, 1.54184 Å. Input: a DFT-relaxed cell (GGA-PBE, the Materials Project).
Intensities are scaled so that the largest is 100.

Largest 12 diffraction maxima, in order of falling intensity, 2θ = 5–70°:
d [Å]  I (rel.)  h k l
3.788  100  1 1 0
2.693  66  2 0 4
3.830  62  1 0 4
2.909  39  2 0 3
1.894  39  2 2 0
2.195  29  2 1 4
2.187  23  3 0 0
2.476  21  2 0 5
3.272  17  1 0 5
4.541  16  1 0 3
1.915  15  2 0 8
2.083  15  2 0 7

Crystal structure
```
data_CsCdCl3
_symmetry_space_group_name_H-M 'P 63/m m c'
_symmetry_Int_Tables_number 194
_symmetry_space_group_name_Hall '-P 6c 2c'
_cell_length_a 7.5751
_cell_length_b 7.5751
_cell_length_c 18.8733
_cell_angle_alpha 90.00
_cell_angle_beta 90.00
_cell_angle_gamma 120.00
loop_
_atom_site_label
_atom_site_type_symbol
_atom_site_fract_x
_atom_site_fract_y
_atom_site_fract_z
_atom_site_occupancy
Cs1 Cs 0.0000 0.0000 0.2500 1
Cs2 Cs 0.3333 0.6667 0.0902 1
Cd1 Cd 0.0000 0.0000 0.0000 1
Cd2 Cd 0.3333 0.6667 0.6605 1
Cl1 Cl 0.0148 0.5074 0.7500 1
Cl2 Cl 0.1644 0.3288 0.5826 1
```

***

(5)
# Cd2H3ClO3
Simulated powder XRD pattern, Cu Kα, 1.54184 Å. Input: a DFT-relaxed cell (GGA-PBE, the Materials Project).
Intensities are scaled so that the largest is 100.

Largest 12 diffraction maxima, in order of falling intensity, 2θ = 5–70°:
d [Å]  I (rel.)  h k l
6.060  100  0 1 1
5.701  75  1 0 1
3.159  67  1 2 1
2.559  55  2 2 0
2.511  32  0 0 4
3.030  30  0 2 2
1.792  29  2 2 4
3.010  28  1 0 3
3.063  26  0 1 3
2.850  21  2 0 2
1.900  17  0 4 0
2.361  16  1 2 3

Crystal structure
```
data_Cd2H3ClO3
_symmetry_space_group_name_H-M 'P n m a'
_symmetry_Int_Tables_number 62
_symmetry_space_group_name_Hall '-P 2ac 2n'
_cell_length_a 6.925
_cell_length_b 7.600
_cell_length_c 10.042
_cell_angle_alpha 90.00
_cell_angle_beta 90.00
_cell_angle_gamma 90.00
loop_
_atom_site_label
_atom_site_type_symbol
_atom_site_fract_x
_atom_site_fract_y
_atom_site_fract_z
_atom_site_occupancy
Cd1 Cd 0.000 0.000 0.000 1
Cd2 Cd 0.191 0.250 0.262 1
H1 H 0.073 0.046 0.720 1
H2 H 0.192 0.750 0.487 1
Cl1 Cl 0.190 0.250 0.539 1
O1 O 0.057 0.554 0.780 1
O2 O 0.179 0.250 0.027 1
```

***

(6)
# CdIClO3
Simulated powder XRD pattern, Cu Kα, 1.54184 Å. Input: a DFT-relaxed cell (GGA-PBE, the Materials Project).
Intensities are scaled so that the largest is 100.

Largest 12 diffraction maxima, in order of falling intensity, 2θ = 5–70°:
d [Å]  I (rel.)  h k l
3.074  100  2 2 1
3.724  63  0 0 2
4.116  46  0 4 0
2.581  41  2 4 1
2.000  39  2 2 3
8.233  36  0 2 0
2.114  25  2 6 1
2.745  24  0 6 0
1.748  20  2 8 1
2.762  20  0 4 2
1.647  18  0 10 0
1.456  16  2 8 3

Crystal structure
```
data_CdIClO3
_symmetry_space_group_name_H-M 'C m c e'
_symmetry_Int_Tables_number 64
_symmetry_space_group_name_Hall '-C 2ac 2'
_cell_length_a 7.401
_cell_length_b 16.466
_cell_length_c 7.448
_cell_angle_alpha 90.00
_cell_angle_beta 90.00
_cell_angle_gamma 90.00
loop_
_atom_site_label
_atom_site_type_symbol
_atom_site_fract_x
_atom_site_fract_y
_atom_site_fract_z
_atom_site_occupancy
Cd1 Cd 0.250 0.103 0.250 1
I1 I 0.000 0.096 0.722 1
Cl1 Cl 0.000 0.206 0.167 1
O1 O 0.000 0.014 0.222 1
O2 O 0.191 0.097 0.565 1
```

***

(7)
# K4CdCl6
Simulated powder XRD pattern, Cu Kα, 1.54184 Å. Input: a DFT-relaxed cell (GGA-PBE, the Materials Project).
Intensities are scaled so that the largest is 100.

Largest 12 diffraction maxima, in order of falling intensity, 2θ = 5–70°:
d [Å]  I (rel.)  h k l
6.171  100  0 1 2
2.760  81  2 1 4
2.630  45  2 2 3
3.559  30  3 0 0
2.906  25  1 3 1
2.057  25  3 2 4
3.089  23  0 2 4
2.334  18  1 3 4
1.415  16  3 5 4
2.330  16  4 1 0
1.779  15  6 0 0
1.952  14  2 2 6

Crystal structure
```
data_K4CdCl6
_symmetry_space_group_name_H-M 'R -3 c'
_symmetry_Int_Tables_number 167
_symmetry_space_group_name_Hall '-R 3 2"c'
_cell_length_a 12.3268
_cell_length_b 12.3268
_cell_length_c 15.1484
_cell_angle_alpha 90.00
_cell_angle_beta 90.00
_cell_angle_gamma 120.00
loop_
_atom_site_label
_atom_site_type_symbol
_atom_site_fract_x
_atom_site_fract_y
_atom_site_fract_z
_atom_site_occupancy
K1 K 0.0000 0.0000 0.2500 1
K2 K 0.0000 0.3765 0.2500 1
Cd1 Cd 0.0000 0.0000 0.0000 1
Cl1 Cl 0.0322 0.1912 0.3975 1
```

***

(8)
# KCdCl3
Simulated powder XRD pattern, Cu Kα, 1.54184 Å. Input: a DFT-relaxed cell (GGA-PBE, the Materials Project).
Intensities are scaled so that the largest is 100.

Largest 12 diffraction maxima, in order of falling intensity, 2θ = 5–70°:
d [Å]  I (rel.)  h k l
2.799  100  2 1 2
7.453  77  0 0 2
3.599  66  1 1 1
2.960  53  2 1 1
7.713  51  1 0 1
5.744  49  1 0 2
2.028  42  3 1 4
2.405  41  0 1 5
2.035  31  0 2 0
3.338  29  2 0 3
1.847  25  1 1 7
2.831  24  1 0 5

Crystal structure
```
data_KCdCl3
_symmetry_space_group_name_H-M 'P n m a'
_symmetry_Int_Tables_number 62
_symmetry_space_group_name_Hall '-P 2ac 2n'
_cell_length_a 9.014
_cell_length_b 4.070
_cell_length_c 14.907
_cell_angle_alpha 90.00
_cell_angle_beta 90.00
_cell_angle_gamma 90.00
loop_
_atom_site_label
_atom_site_type_symbol
_atom_site_fract_x
_atom_site_fract_y
_atom_site_fract_z
_atom_site_occupancy
K1 K 0.072 0.250 0.178 1
Cd1 Cd 0.171 0.750 0.445 1
Cl1 Cl 0.019 0.750 0.601 1
Cl2 Cl 0.166 0.750 0.010 1
Cl3 Cl 0.209 0.250 0.791 1
```

***

(9)
# KCdCl3O
Simulated powder XRD pattern, Cu Kα, 1.54184 Å. Input: a DFT-relaxed cell (GGA-PBE, the Materials Project).
Intensities are scaled so that the largest is 100.

Largest 12 diffraction maxima, in order of falling intensity, 2θ = 5–70°:
d [Å]  I (rel.)  h k l
7.360  100  1 0 1
2.589  45  2 1 3
3.363  44  1 1 2
2.715  27  2 1 2
2.012  24  0 2 0
2.968  18  1 0 6
1.994  18  1 1 8
3.457  17  1 0 5
2.801  16  2 1 1
4.797  11  0 0 4
3.405  11  0 1 3
3.985  10  2 0 0

Crystal structure
```
data_KCdCl3O
_symmetry_space_group_name_H-M 'P n m a'
_symmetry_Int_Tables_number 62
_symmetry_space_group_name_Hall '-P 2ac 2n'
_cell_length_a 7.969
_cell_length_b 4.023
_cell_length_c 19.187
_cell_angle_alpha 90.00
_cell_angle_beta 90.00
_cell_angle_gamma 90.00
loop_
_atom_site_label
_atom_site_type_symbol
_atom_site_fract_x
_atom_site_fract_y
_atom_site_fract_z
_atom_site_occupancy
K1 K 0.096 0.250 0.196 1
Cd1 Cd 0.042 0.750 0.410 1
Cl1 Cl 0.107 0.250 0.708 1
Cl2 Cl 0.163 0.750 0.541 1
Cl3 Cl 0.242 0.250 0.374 1
O1 O 0.028 0.750 0.081 1
```

***

(10)
# Li2CdCl4
Simulated powder XRD pattern, Cu Kα, 1.54184 Å. Input: a DFT-relaxed cell (GGA-PBE, the Materials Project).
Intensities are scaled so that the largest is 100.

Largest 12 diffraction maxima, in order of falling intensity, 2θ = 5–70°:
d [Å]  I (rel.)  h k l
6.167  100  1 0 1
2.713  66  2 2 0
1.895  56  4 0 0
3.286  47  1 2 1
5.298  31  0 0 2
2.649  31  0 0 4
3.202  21  1 0 3
2.415  18  2 2 2
2.470  16  1 2 3
3.792  16  2 0 0
2.077  15  3 2 1
3.883  13  0 2 0

Crystal structure
```
data_Li2CdCl4
_symmetry_space_group_name_H-M 'I m m a'
_symmetry_Int_Tables_number 74
_symmetry_space_group_name_Hall '-I 2b 2'
_cell_length_a 7.583
_cell_length_b 7.766
_cell_length_c 10.596
_cell_angle_alpha 90.00
_cell_angle_beta 90.00
_cell_angle_gamma 90.00
loop_
_atom_site_label
_atom_site_type_symbol
_atom_site_fract_x
_atom_site_fract_y
_atom_site_fract_z
_atom_site_occupancy
Li1 Li 0.000 0.250 0.137 1
Li2 Li 0.250 0.250 0.750 1
Cd1 Cd 0.000 0.000 0.500 1
Cl1 Cl 0.000 0.017 0.746 1
Cl2 Cl 0.245 0.250 0.506 1
```